(1)
Structure and theoretical X-ray diffraction stick pattern of BAsI3 (a DFT-relaxed cell (PBE, Alexandria); copper Kα).
Peak positions follow from Bragg's law for the DFT cell and can differ from measured ones.

Most intense lines, 2θ from 10° to 80°, low angle first:
d/Å, I_rel, hkl
5.086, 5, 1 0 0
3.597, 2, 1 1 0
2.937, 100, 1 1 1
2.543, 54, 2 0 0
2.275, 2, 2 1 0
2.076, 1, 2 1 1
1.798, 38, 2 2 0
1.695, 1, 3 0 0
1.534, 42, 3 1 1
1.468, 13, 2 2 2
1.272, 6, 4 0 0
1.234, 1, 4 1 0

Structure:
```
data_BAsI3
_chemical_formula_sum 'B1 As1 I3'
_cell_length_a 5.0863
_cell_length_b 5.0863
_cell_length_c 5.0863
_cell_angle_alpha 90.00
_cell_angle_beta 90.00
_cell_angle_gamma 90.00
_space_group_name_H-M_alt 'P m -3 m'
_space_group_IT_number 221
_space_group_name_Hall '-P 4 2 3'
loop_
_atom_site_label
_atom_site_type_symbol
_atom_site_fract_x
_atom_site_fract_y
_atom_site_fract_z
_atom_site_occupancy
B1 B 0.0000 0.0000 0.0000 1
As1 As 0.5000 0.5000 0.5000 1
I1 I 0.0000 0.0000 0.5000 1
```

***

(2)
Structure and theoretical X-ray diffraction stick pattern of BPPt5 (a DFT-relaxed cell (PBE, Alexandria); copper Kα).
Peak positions follow from Bragg's law for the DFT cell and can differ from measured ones.

Most intense lines, 2θ from 10° to 80°, low angle first:
d/Å, I_rel, hkl
2.770, 100, 1 1 2
2.623, 72, 1 1 -3
2.434, 100, 4 0 -2
2.271, 95, 2 2 -1
2.237, 47, 3 1 1
2.224, 24, 2 2 0
2.161, 26, 2 2 -2
2.067, 38, 1 1 -4
2.022, 35, 3 1 -4
1.901, 27, 3 1 2
1.681, 28, 5 1 0
1.391, 27, 1 3 3

Structure:
```
data_BPPt5
_chemical_formula_sum 'B4 P4 Pt20'
_cell_length_a 9.8073
_cell_length_b 5.1349
_cell_length_c 9.2194
_cell_angle_alpha 90.00
_cell_angle_beta 114.88
_cell_angle_gamma 90.00
_space_group_name_H-M_alt 'C 1 c 1'
_space_group_IT_number 9
loop_
_space_group_symop_operation_xyz
'x,y,z'
'x,-y,z+1/2'
'x+1/2,y+1/2,z'
'x+1/2,-y+1/2,z+1/2'
loop_
_atom_site_label
_atom_site_type_symbol
_atom_site_fract_x
_atom_site_fract_y
_atom_site_fract_z
_atom_site_occupancy
B1 B 0.0000 0.2309 0.0000 1
P1 P 0.2794 0.2831 0.7756 1
Pt1 Pt 0.0915 0.4143 0.8557 1
Pt2 Pt 0.1580 0.0781 0.5300 1
Pt3 Pt 0.2915 0.2619 0.2990 1
Pt4 Pt 0.4200 0.1200 0.0290 1
Pt5 Pt 0.4715 0.4043 0.6965 1
```

***

(3)
Structure and theoretical X-ray diffraction stick pattern of Ba3Dy2O4F3 (a DFT-relaxed cell (PBE, Alexandria); copper Kα).
Peak positions follow from Bragg's law for the DFT cell and can differ from measured ones.

Most intense lines, 2θ from 10° to 80°, low angle first:
d/Å, I_rel, hkl
3.212, 100, 0 1 5
3.199, 99, 1 0 5
3.057, 98, 1 1 0
2.388, 32, 0 0 10
2.170, 27, 0 2 0
2.154, 26, 2 0 0
1.882, 54, 1 1 10
1.796, 38, 1 2 5
1.789, 38, 2 1 5
1.606, 18, 0 2 10
1.599, 18, 2 0 10
1.494, 21, 1 0 15

Structure:
```
data_Ba3Dy2O4F3
_chemical_formula_sum 'Ba6 Dy4 O8 F6'
_cell_length_a 4.3074
_cell_length_b 4.3402
_cell_length_c 23.8827
_cell_angle_alpha 90.00
_cell_angle_beta 90.00
_cell_angle_gamma 90.00
_space_group_name_H-M_alt 'I m m m'
_space_group_IT_number 71
_space_group_name_Hall '-I 2 2'
loop_
_atom_site_label
_atom_site_type_symbol
_atom_site_fract_x
_atom_site_fract_y
_atom_site_fract_z
_atom_site_occupancy
Ba1 Ba 0.0000 0.0000 0.0000 1
Ba2 Ba 0.0000 0.0000 0.1988 1
Dy1 Dy 0.0000 0.0000 0.3978 1
O1 O 0.0000 0.0000 0.3072 1
O2 O 0.0000 0.5000 0.4147 1
F1 F 0.0000 0.0000 0.5000 1
F2 F 0.0000 0.5000 0.0773 1
```

***

(4)
Structure and theoretical X-ray diffraction stick pattern of La6Si3Ni2 (a DFT-relaxed cell (PBE, Alexandria); copper Kα).
Peak positions follow from Bragg's law for the DFT cell and can differ from measured ones.

Most intense lines, 2θ from 10° to 80°, low angle first:
d/Å, I_rel, hkl
4.190, 16, 1 1 -1
2.984, 63, 1 1 2
2.966, 100, 2 1 -3
2.887, 18, 1 0 3
2.856, 34, 4 0 -1
2.765, 12, 0 1 3
2.753, 14, 3 1 0
2.743, 13, 3 1 -3
2.292, 25, 0 2 0
2.266, 11, 1 0 -5
1.788, 12, 3 2 -4
1.552, 20, 7 1 -2

Structure:
```
data_La6Si3Ni2
_chemical_formula_sum 'La12 Si6 Ni4'
_cell_length_a 11.8567
_cell_length_b 4.5837
_cell_length_c 11.9401
_cell_angle_alpha 90.00
_cell_angle_beta 119.39
_cell_angle_gamma 90.00
_space_group_name_H-M_alt 'P 1 m 1'
_space_group_IT_number 6
loop_
_space_group_symop_operation_xyz
'x,y,z'
'x,-y,z'
loop_
_atom_site_label
_atom_site_type_symbol
_atom_site_fract_x
_atom_site_fract_y
_atom_site_fract_z
_atom_site_occupancy
La1 La 0.0000 0.0000 0.0000 1
La2 La 0.0050 0.5000 0.2324 1
La3 La 0.1608 0.0000 0.5445 1
La4 La 0.2386 0.0000 0.8819 1
La5 La 0.2849 0.5000 0.1532 1
La6 La 0.3885 0.5000 0.5009 1
La7 La 0.5264 0.0000 0.7884 1
La8 La 0.5372 0.5000 0.0207 1
La9 La 0.6291 0.5000 0.3872 1
La10 La 0.7619 0.5000 0.7778 1
La11 La 0.7838 0.0000 0.2469 1
La12 La 0.8960 0.0000 0.6227 1
Si1 Si 0.0993 0.5000 0.6875 1
Si2 Si 0.2084 0.0000 0.3004 1
Si3 Si 0.4343 0.0000 0.3484 1
Si4 Si 0.4859 0.0000 0.1730 1
Si5 Si 0.6079 0.0000 0.5710 1
Si6 Si 0.9318 0.5000 0.4538 1
Ni1 Ni 0.0474 0.5000 0.8586 1
Ni2 Ni 0.3252 0.5000 0.7487 1
Ni3 Ni 0.7649 0.2482 0.0062 1
```

***

(5)
Structure and theoretical X-ray diffraction stick pattern of Ho2Tm5Th3 (a DFT-relaxed cell (PBE, Alexandria); copper Kα).
Peak positions follow from Bragg's law for the DFT cell and can differ from measured ones.

Most intense lines, 2θ from 10° to 80°, low angle first:
d/Å, I_rel, hkl
2.982, 76, 2 4 -2
2.815, 100, 2 2 1
2.731, 23, 0 4 2
2.652, 43, 4 0 -2
2.588, 15, 0 6 1
2.456, 23, 2 6 -1
1.903, 17, 4 4 0
1.821, 17, 0 6 3
1.561, 17, 6 2 -1
1.501, 18, 4 6 -5
1.453, 24, 2 10 1
1.325, 19, 8 0 -4

Structure:
```
data_Ho2Tm5Th3
_chemical_formula_sum 'Ho8 Tm20 Th12'
_cell_length_a 10.6083
_cell_length_b 16.6248
_cell_length_c 8.9774
_cell_angle_alpha 90.00
_cell_angle_beta 126.16
_cell_angle_gamma 90.00
_space_group_name_H-M_alt 'C 1 2/c 1'
_space_group_IT_number 15
loop_
_space_group_symop_operation_xyz
'x,y,z'
'-x,-y,-z'
'-x,y,-z+1/2'
'x,-y,z+1/2'
'x+1/2,y+1/2,z'
'-x+1/2,-y+1/2,-z'
'-x+1/2,y+1/2,-z+1/2'
'x+1/2,-y+1/2,z+1/2'
loop_
_atom_site_label
_atom_site_type_symbol
_atom_site_fract_x
_atom_site_fract_y
_atom_site_fract_z
_atom_site_occupancy
Ho1 Ho 0.1469 0.1200 0.0414 1
Tm1 Tm 0.0000 0.0302 0.2500 1
Tm2 Tm 0.0000 0.2191 0.2500 1
Tm3 Tm 0.0000 0.4693 0.7500 1
Tm4 Tm 0.2454 0.1217 0.7433 1
Th1 Th 0.0000 0.2719 0.7500 1
Th2 Th 0.1354 0.3744 0.5269 1
```

***

(6)
Structure and theoretical X-ray diffraction stick pattern of Ho2ZrSc (a DFT-relaxed cell (PBE, Alexandria); copper Kα).
Peak positions follow from Bragg's law for the DFT cell and can differ from measured ones.

Most intense lines, 2θ from 10° to 80°, low angle first:
d/Å, I_rel, hkl
5.482, 28, 0 0 6
2.874, 18, 0 1 2
2.751, 100, 1 0 4
2.741, 33, 0 0 12
2.380, 66, 0 1 8
2.183, 8, 1 0 10
1.685, 23, 1 1 0
1.681, 22, 1 0 16
1.611, 7, 1 1 6
1.436, 40, 0 2 4
1.433, 13, 0 1 20
1.375, 11, 2 0 8

Structure:
```
data_Ho2ZrSc
_chemical_formula_sum 'Ho6 Zr3 Sc3'
_cell_length_a 3.3706
_cell_length_b 3.3706
_cell_length_c 32.8937
_cell_angle_alpha 90.00
_cell_angle_beta 90.00
_cell_angle_gamma 120.00
_space_group_name_H-M_alt 'R -3 m'
_space_group_IT_number 166
_space_group_name_Hall '-R 3 2"'
loop_
_atom_site_label
_atom_site_type_symbol
_atom_site_fract_x
_atom_site_fract_y
_atom_site_fract_z
_atom_site_occupancy
Ho1 Ho 0.0000 0.0000 0.2482 1
Zr1 Zr 0.0000 0.0000 0.5000 1
Sc1 Sc 0.0000 0.0000 0.0000 1
```

***

(7)
Structure and theoretical X-ray diffraction stick pattern of La2YHo2Er (a DFT-relaxed cell (PBE, Alexandria); copper Kα).
Peak positions follow from Bragg's law for the DFT cell and can differ from measured ones.

Most intense lines, 2θ from 10° to 80°, low angle first:
d/Å, I_rel, hkl
3.544, 13, 2 0 0
2.877, 83, 2 1 1
2.845, 100, 0 2 0
2.219, 22, 2 2 0
2.023, 30, 2 0 4
1.772, 8, 4 0 0
1.650, 21, 2 2 4
1.646, 17, 0 0 6
1.641, 13, 0 3 3
1.504, 29, 4 2 0
1.424, 8, 0 2 6
1.204, 9, 4 3 3

Structure:
```
data_La2YHo2Er
_chemical_formula_sum 'La4 Y2 Ho4 Er2'
_cell_length_a 7.0877
_cell_length_b 5.6795
_cell_length_c 9.8739
_cell_angle_alpha 90.00
_cell_angle_beta 90.00
_cell_angle_gamma 90.00
_space_group_name_H-M_alt 'P m m a'
_space_group_IT_number 51
loop_
_space_group_symop_operation_xyz
'x,y,z'
'-x,-y,-z'
'-x+1/2,-y,z'
'x+1/2,y,-z'
'x+1/2,-y,-z'
'-x+1/2,y,z'
'-x,y,-z'
'x,-y,z'
loop_
_atom_site_label
_atom_site_type_symbol
_atom_site_fract_x
_atom_site_fract_y
_atom_site_fract_z
_atom_site_occupancy
La1 La 0.0000 0.0000 0.0000 1
La2 La 0.2500 0.5000 0.1753 1
Y1 Y 0.0000 0.5000 0.5000 1
Ho1 Ho 0.2500 0.0000 0.3350 1
Ho2 Ho 0.2500 0.5000 0.8331 1
Er1 Er 0.2500 0.0000 0.6595 1
```

***

(8)
Structure and theoretical X-ray diffraction stick pattern of Tb3TcI3 (a DFT-relaxed cell (PBE, Alexandria); copper Kα).
Peak positions follow from Bragg's law for the DFT cell and can differ from measured ones.

Most intense lines, 2θ from 10° to 80°, low angle first:
d/Å, I_rel, hkl
5.753, 9, 0 0 6
3.607, 16, 1 1 0
3.056, 100, 1 1 6
2.628, 11, 1 1 9
2.249, 31, 2 -1 12
2.083, 26, 3 0 0
1.940, 7, 2 -1 15
1.721, 15, 4 -2 6
1.528, 7, 2 2 12
1.411, 9, 0 3 18
1.327, 9, 1 4 6
1.232, 6, 5 -4 12

Structure:
```
data_Tb3TcI3
_chemical_formula_sum 'Tb18 Tc6 I18'
_cell_length_a 7.2145
_cell_length_b 7.2145
_cell_length_c 34.5193
_cell_angle_alpha 90.00
_cell_angle_beta 90.00
_cell_angle_gamma 120.00
_space_group_name_H-M_alt 'R -3'
_space_group_IT_number 148
_space_group_name_Hall '-R 3'
loop_
_atom_site_label
_atom_site_type_symbol
_atom_site_fract_x
_atom_site_fract_y
_atom_site_fract_z
_atom_site_occupancy
Tb1 Tb 0.0005 0.3755 0.4530 1
Tc1 Tc 0.0000 0.0000 0.1667 1
I1 I 0.0003 0.3163 0.6071 1
```